Computed powder X-ray diffraction pattern
Compound: Tb3As2Pt2Rh5
Radiation: Cu Ka
Structure: the PBE geometry in Alexandria
Neutral-atom scattering factors, no anomalous dispersion.

Cell and atoms:
Unit cell a=13.662 b=13.662 c=13.662 alpha=163.01 beta=163.01 gamma=24.12
Positions (direct):
1 Tb 0.000 0.000 0.000
2 Tb 0.170 0.170 0.000
3 Tb 0.830 0.830 0.000
4 As 0.371 0.371 0.000
5 As 0.629 0.629 0.000
6 Pt 0.278 0.278 0.000
7 Pt 0.722 0.722 0.000
8 Rh 0.079 0.579 0.500
9 Rh 0.421 0.921 0.500
10 Rh 0.500 0.500 0.000
11 Rh 0.579 0.079 0.500
12 Rh 0.921 0.421 0.500

Peak list (10 most intense, 5° ≤ 2θ ≤ 70°, by angle)
2theta	I_rel
31.3	54.4
32.1	54.1
32.3	33.8
34.2	34.9
37.4	97.8
37.6	73.0
43.5	53.8
44.9	100.0
60.0	37.7
64.3	33.9



Computed powder X-ray diffraction pattern
Compound: DyY2Zn2In2
Radiation: Cu Ka
Structure: the PBE geometry in Alexandria
Neutral-atom scattering factors, no anomalous dispersion.

Cell and atoms:
Unit cell a=9.526 b=9.526 c=9.526 alpha=28.54 beta=28.54 gamma=28.54
Positions (direct):
1 Dy 0.000 0.000 0.000
2 Y 0.127 0.127 0.127
3 Y 0.873 0.873 0.873
4 Zn 0.394 0.394 0.394
5 Zn 0.606 0.606 0.606
6 In 0.263 0.263 0.263
7 In 0.737 0.737 0.737

Peak list (10 most intense, 5° ≤ 2θ ≤ 70°, by angle)
2theta	I_rel
9.7	33.3
22.1	19.6
31.7	60.9
34.2	98.5
38.3	100.0
50.6	16.1
52.3	28.7
64.7	33.9
66.7	27.1
69.3	16.7



Computed powder X-ray diffraction pattern
Compound: RbGe3B4O12
Radiation: Cu Ka
Structure: the PBE geometry in Alexandria
Neutral-atom scattering factors, no anomalous dispersion.

Cell and atoms:
Unit cell a=6.143 b=6.143 c=6.143 alpha=102.08 beta=102.08 gamma=102.08
Positions (direct):
1 Rb 0.000 0.000 0.000
2 Ge 0.000 0.547 0.453
3 Ge 0.453 0.000 0.547
4 Ge 0.547 0.453 0.000
5 B 0.057 0.500 0.943
6 B 0.500 0.500 0.500
7 B 0.500 0.943 0.057
8 B 0.943 0.057 0.500
9 O 0.002 0.240 0.412
10 O 0.094 0.906 0.500
11 O 0.240 0.412 0.002
12 O 0.353 0.647 0.500
13 O 0.412 0.002 0.240
14 O 0.500 0.094 0.906
15 O 0.500 0.353 0.647
16 O 0.588 0.760 0.998
17 O 0.647 0.500 0.353
18 O 0.760 0.998 0.588
19 O 0.906 0.500 0.094
20 O 0.998 0.588 0.760

Peak list (10 most intense, 5° ≤ 2θ ≤ 70°, by angle)
2theta	I_rel
18.6	13.7
24.2	69.9
30.6	15.2
30.9	100.0
37.7	18.4
45.2	12.1
45.4	27.9
50.1	18.6
51.0	23.3
57.9	9.5



Computed powder X-ray diffraction pattern
Compound: YEr4Th2
Radiation: Cu Ka
Structure: the PBE geometry in Alexandria
Neutral-atom scattering factors, no anomalous dispersion.

Cell and atoms:
Unit cell a=3.456 b=8.490 c=8.690 alpha=62.35 beta=89.94 gamma=81.31
Positions (direct):
1 Y 0.000 0.000 0.000
2 Er 0.048 0.447 0.716
3 Er 0.365 0.851 0.422
4 Er 0.635 0.149 0.578
5 Er 0.952 0.553 0.284
6 Th 0.409 0.717 0.865
7 Th 0.591 0.283 0.135

Peak list (10 most intense, 5° ≤ 2θ ≤ 70°, by angle)
2theta	I_rel
29.9	36.8
30.7	24.8
30.9	71.9
31.3	14.4
31.8	63.8
32.5	100.0
33.3	39.0
33.8	18.3
49.6	15.2
55.1	17.3



Computed powder X-ray diffraction pattern
Compound: SmAl2SiRh
Radiation: Cu Ka
Structure: the PBE geometry in Alexandria
Neutral-atom scattering factors, no anomalous dispersion.

Cell and atoms:
Unit cell a=3.935 b=4.094 c=11.141 alpha=90.00 beta=90.00 gamma=90.00
Positions (direct):
1 Sm 0.000 0.000 0.000
2 Sm 0.500 0.500 0.500
3 Al 0.000 0.000 0.381
4 Al 0.000 0.500 0.242
5 Al 0.500 0.000 0.742
6 Al 0.500 0.500 0.881
7 Si 0.000 0.000 0.604
8 Si 0.500 0.500 0.104
9 Rh 0.000 0.500 0.736
10 Rh 0.500 0.000 0.236

Peak list (10 most intense, 5° ≤ 2θ ≤ 70°, by angle)
2theta	I_rel
23.1	33.9
24.0	25.1
32.1	19.7
32.6	22.5
33.2	32.2
35.5	100.0
44.3	18.0
46.1	16.0
46.4	16.7
59.5	15.9



Computed powder X-ray diffraction pattern
Compound: Cs3Np2S7
Radiation: Cu Ka
Structure: the PBE geometry in Alexandria
Neutral-atom scattering factors, no anomalous dispersion.

Cell and atoms:
Unit cell a=17.910 b=17.910 c=5.223 alpha=90.00 beta=90.00 gamma=163.23
Positions (direct):
1 Cs 0.000 0.000 0.000
2 Cs 0.146 0.854 0.000
3 Cs 0.854 0.146 0.000
4 Np 0.426 0.574 0.500
5 Np 0.574 0.426 0.500
6 S 0.074 0.926 0.500
7 S 0.357 0.643 0.500
8 S 0.426 0.574 0.000
9 S 0.500 0.500 0.500
10 S 0.574 0.426 0.000
11 S 0.643 0.357 0.500
12 S 0.926 0.074 0.500

Peak list (10 most intense, 5° ≤ 2θ ≤ 70°, by angle)
2theta	I_rel
10.0	38.3
22.7	61.2
24.2	100.0
24.5	62.6
26.4	30.3
34.3	56.5
41.2	32.1
41.6	26.1
42.6	29.8
50.2	36.9



Computed powder X-ray diffraction pattern
Compound: Ce5Se
Radiation: Cu Ka
Structure: the PBE geometry in Alexandria
Neutral-atom scattering factors, no anomalous dispersion.

Cell and atoms:
Unit cell a=4.600 b=14.394 c=4.482 alpha=90.00 beta=90.00 gamma=90.00
Positions (direct):
1 Ce 0.000 0.000 0.000
2 Ce 0.000 0.155 0.500
3 Ce 0.000 0.339 0.000
4 Ce 0.000 0.661 0.000
5 Ce 0.000 0.845 0.500
6 Ce 0.500 0.161 0.000
7 Ce 0.500 0.345 0.500
8 Ce 0.500 0.500 0.000
9 Ce 0.500 0.655 0.500
10 Ce 0.500 0.839 0.000
11 Se 0.000 0.500 0.500
12 Se 0.500 0.000 0.500

Peak list (10 most intense, 5° ≤ 2θ ≤ 70°, by angle)
2theta	I_rel
33.6	100.0
37.5	17.5
39.2	16.7
40.2	15.5
55.3	11.3
56.2	10.8
57.4	10.9
65.2	12.4
67.4	13.1
68.9	12.3



Computed powder X-ray diffraction pattern
Compound: Sm2Nb3Ge4
Radiation: Cu Ka
Structure: the PBE geometry in Alexandria
Neutral-atom scattering factors, no anomalous dispersion.

Cell and atoms:
Unit cell a=7.244 b=7.244 c=7.123 alpha=90.00 beta=109.32 gamma=90.00
Positions (direct):
1 Sm 0.187 0.170 0.060
2 Sm 0.187 0.330 0.560
3 Sm 0.813 0.670 0.440
4 Sm 0.813 0.830 0.940
5 Nb 0.257 0.673 0.247
6 Nb 0.257 0.827 0.747
7 Nb 0.500 0.000 0.500
8 Nb 0.500 0.500 0.000
9 Nb 0.743 0.173 0.253
10 Nb 0.743 0.327 0.753
11 Ge 0.087 0.541 0.861
12 Ge 0.087 0.959 0.361
13 Ge 0.494 0.131 0.867
14 Ge 0.494 0.369 0.367
15 Ge 0.506 0.631 0.633
16 Ge 0.506 0.869 0.133
17 Ge 0.913 0.041 0.639
18 Ge 0.913 0.459 0.139

Peak list (10 most intense, 5° ≤ 2θ ≤ 70°, by angle)
2theta	I_rel
28.9	20.2
32.8	33.6
33.0	33.3
35.4	98.4
35.7	100.0
36.1	30.0
39.6	26.0
39.7	46.7
39.8	26.4
40.0	52.2